Diffraction record for TaCr2In. The powder diffraction line list is calculated, not measured: it uses the PBE geometry in Alexandria and Cu Kα (weighted mean of Kα1 and Kα2).
Intensities are scaled so that the largest is 100.

The 10 most intense peaks (5 to 70 degrees two-theta), by angle:
2theta	d/Å	I_rel
20.08	4.421	6
27.30	3.267	15
28.55	3.126	26
39.91	2.259	100
40.82	2.211	47
49.80	1.831	12
56.32	1.633	9
59.10	1.563	15
64.35	1.448	6
66.28	1.410	5

Structural model:
```
TaCr2In
1.0
4.421 0.000 0.000
0.000 4.421 0.000
0.000 0.000 3.267
Ta Cr In
1 2 1
direct
0.000 0.000 0.000
0.000 0.500 0.500
0.500 0.000 0.500
0.500 0.500 0.000
```


Diffraction record for Cr4InTe8. The powder diffraction line list is calculated, not measured: it uses the PBE geometry in Alexandria and Cu Kα (weighted mean of Kα1 and Kα2).
Intensities are scaled so that the largest is 100.

The 10 most intense peaks (5 to 70 degrees two-theta), by angle:
2theta	d/Å	I_rel
13.34	6.637	23
25.70	3.466	20
26.87	3.318	100
31.12	2.874	99
40.79	2.212	36
44.59	2.032	100
52.83	1.733	38
55.38	1.659	20
57.23	1.610	11
64.90	1.437	13

Structural model:
```
Cr4InTe8
1.0
0.000 5.747 5.747
5.747 0.000 5.747
5.747 5.747 0.000
Cr In Te
4 1 8
direct
0.382 0.382 0.382
0.382 0.382 0.853
0.382 0.853 0.382
0.853 0.382 0.382
0.000 0.000 0.000
0.141 0.141 0.141
0.141 0.141 0.577
0.141 0.577 0.141
0.148 0.617 0.617
0.577 0.141 0.141
0.617 0.148 0.617
0.617 0.617 0.148
0.617 0.617 0.617
```


Diffraction record for TiCr3In. The powder diffraction line list is calculated, not measured: it uses the PBE geometry in Alexandria and Cu Kα (weighted mean of Kα1 and Kα2).
Intensities are scaled so that the largest is 100.

The 9 most intense peaks (5 to 70 degrees two-theta), by angle:
2theta	d/Å	I_rel
20.40	4.354	1
29.00	3.078	60
35.72	2.514	100
41.48	2.177	96
46.65	1.947	1
51.41	1.777	24
60.11	1.539	58
64.18	1.451	1
68.11	1.377	10

Structural model:
```
TiCr3In
1.0
4.354 0.000 0.000
0.000 4.354 0.000
0.000 0.000 4.354
Ti Cr In
1 3 1
direct
0.000 0.000 0.000
0.000 0.000 0.500
0.000 0.500 0.000
0.500 0.000 0.000
0.500 0.500 0.500
```